# ThUC2
Simulated powder diffraction line list, λ = 1.5418 Å (Cu Kα). Input: the GGA-PBE geometry in the Materials Project.
Lines closer than 0.1° are merged.

Peak list (10 most intense, 2θ = 10–80°, in order of falling intensity)
d_spacing	I (rel.)
2.962	100
2.562	82
1.546	47
2.946	33
1.815	30
1.808	29
1.541	16
1.481	16
1.281	10
1.473	5

Structural model:
```
ThUC2
1.0
3.631 0.000 0.000
-1.815 3.144 0.000
0.000 0.000 17.678
Th U C
3 3 6
Direct
0.000 0.000 0.000
0.333 0.667 0.667
0.667 0.333 0.333
0.000 0.000 0.500
0.333 0.667 0.167
0.667 0.333 0.833
0.000 0.000 0.234
0.000 0.000 0.766
0.333 0.667 0.433
0.333 0.667 0.900
0.667 0.333 0.100
0.667 0.333 0.567
```